For Fe4O3F5, a DFT-relaxed cell (PBE+U, Alexandria) gives the calculated PXRD pattern in this record (λ = 1.5418 Å (Cu Kα)).
Intensities are scaled so that the largest is 100.

Cell and atoms:
```
data_Fe4O3F5
_chemical_formula_sum 'Fe8 O6 F10'
_symmetry_space_group_name_H-M 'P 1 21/m 1'
_symmetry_Int_Tables_number 11
_cell_length_a 4.777
_cell_length_b 6.120
_cell_length_c 9.542
_cell_angle_alpha 90.00
_cell_angle_beta 93.18
_cell_angle_gamma 90.00
loop_
_symmetry_equiv_pos_as_xyz
'x,y,z'
'-x,-y,-z'
'-x,y+1/2,-z'
'x,-y+1/2,z'
loop_
_atom_site_label
_atom_site_fract_x
_atom_site_fract_y
_atom_site_fract_z
_atom_site_occupancy
Fe1 0.000 0.000 0.000 1
Fe2 0.000 0.000 0.500 1
Fe3 0.428 0.250 0.253 1
Fe4 0.471 0.750 0.234 1
O1 0.160 0.250 0.414 1
O2 0.286 0.517 0.148 1
F1 0.180 0.750 0.898 1
F2 0.209 0.750 0.400 1
F3 0.214 0.250 0.906 1
F4 0.319 0.014 0.657 1
```

Peak list (10 most intense, 2θ from 10° to 90°, low angle first)
d 3.468, 25.7°, intensity 100, hkl 1 0 -2
d 3.281, 27.2°, intensity 87, hkl 1 0 2
d 2.575, 34.8°, intensity 95, hkl 0 2 2
d 2.383, 37.8°, intensity 14, hkl 0 0 4
d 2.295, 39.3°, intensity 18, hkl 1 2 -2
d 1.776, 51.5°, intensity 57, hkl 1 2 -4
d 1.734, 52.8°, intensity 17, hkl 2 0 -4
d 1.724, 53.1°, intensity 47, hkl 1 2 4
d 1.530, 60.5°, intensity 17, hkl 0 4 0
d 1.410, 66.3°, intensity 36, hkl 0 2 6